(1)
The following is a theoretical powder X-ray diffraction pattern of RbPu2Br8. It was derived from a cell relaxed with GGA-PBE, using λ = 1.5418 Å (Cu Kα).
Peak positions follow from Bragg's law for the DFT cell and can differ from measured ones.

Largest 10 diffraction maxima, in order of rising 2θ, 15° ≤ 2θ ≤ 90°:
2θ = 17.4°, I = 95; 2θ = 18.6°, I = 100; 2θ = 20.1°, I = 49; 2θ = 31.1°, I = 37; 2θ = 31.5°, I = 24; 2θ = 35.3°, I = 73; 2θ = 37.6°, I = 35; 2θ = 40.1°, I = 25; 2θ = 47.7°, I = 25; 2θ = 48.0°, I = 43

Structure:
```
data_RbPu2Br8
_chemical_formula_sum 'Rb1 Pu2 Br8'
_space_group_name_H-M_alt 'P -3 m 1'
_space_group_IT_number 164
_space_group_name_Hall '-P 3 2"'
_cell_length_a 10.1804
_cell_length_b 10.1804
_cell_length_c 5.6865
_cell_angle_alpha 90.00
_cell_angle_beta 90.00
_cell_angle_gamma 120.00
loop_
_atom_site_label
_atom_site_type_symbol
_atom_site_fract_x
_atom_site_fract_y
_atom_site_fract_z
Rb1 Rb 0.0000 0.0000 0.0000
Pu1 Pu 0.3333 0.6667 0.2667
Br1 Br 0.1799 0.3598 0.2718
Br2 Br 0.3333 0.6667 0.7687
```

=====

(2)
The following is a theoretical powder X-ray diffraction pattern of Br. It was derived from a cell relaxed with GGA-PBE, using λ = 1.5418 Å (Cu Kα).
Peak positions follow from Bragg's law for the DFT cell and can differ from measured ones.

Largest 10 diffraction maxima, in order of rising 2θ, 15° ≤ 2θ ≤ 90°:
2θ = 19.5°, I = 15; 2θ = 20.6°, I = 47; 2θ = 21.0°, I = 100; 2θ = 29.0°, I = 18; 2θ = 29.6°, I = 17; 2θ = 30.2°, I = 18; 2θ = 30.9°, I = 17; 2θ = 41.8°, I = 13; 2θ = 42.7°, I = 15; 2θ = 44.2°, I = 13

Structure:
```
data_Br
_chemical_formula_sum 'Br4'
_space_group_name_H-M_alt 'P -1'
_space_group_IT_number 2
_space_group_name_Hall '-P 1'
_cell_length_a 5.1080
_cell_length_b 6.1550
_cell_length_c 6.3977
_cell_angle_alpha 81.50
_cell_angle_beta 70.45
_cell_angle_gamma 69.56
loop_
_atom_site_label
_atom_site_type_symbol
_atom_site_fract_x
_atom_site_fract_y
_atom_site_fract_z
Br1 Br 0.0000 0.0000 0.0000
Br2 Br 0.0000 0.5000 0.5000
Br3 Br 0.2975 0.2539 0.7541
```

=====

(3)
The following is a theoretical powder X-ray diffraction pattern of HoZn9Cu2. It was derived from a cell relaxed with GGA-PBE, using λ = 1.5418 Å (Cu Kα).
Peak positions follow from Bragg's law for the DFT cell and can differ from measured ones.

Largest 10 diffraction maxima, in order of rising 2θ, 15° ≤ 2θ ≤ 90°:
2θ = 32.2°, I = 24; 2θ = 36.6°, I = 52; 2θ = 38.7°, I = 91; 2θ = 42.6°, I = 100; 2θ = 47.9°, I = 28; 2θ = 58.9°, I = 21; 2θ = 61.8°, I = 12; 2θ = 66.0°, I = 17; 2θ = 75.3°, I = 19; 2θ = 77.9°, I = 42

Structure:
```
data_HoZn9Cu2
_chemical_formula_sum 'Ho1 Zn9 Cu2'
_space_group_name_H-M_alt 'P 6/m m m'
_space_group_IT_number 191
_space_group_name_Hall '-P 6 2'
_cell_length_a 8.4941
_cell_length_b 8.4941
_cell_length_c 3.0043
_cell_angle_alpha 90.00
_cell_angle_beta 90.00
_cell_angle_gamma 120.00
loop_
_atom_site_label
_atom_site_type_symbol
_atom_site_fract_x
_atom_site_fract_y
_atom_site_fract_z
Ho1 Ho 0.0000 0.0000 0.0000
Zn1 Zn 0.0000 0.5000 0.0000
Zn2 Zn 0.1862 0.3724 0.5000
Cu1 Cu 0.3333 0.6667 0.0000
```

=====

(4)
The following is a theoretical powder X-ray diffraction pattern of In2H4Os. It was derived from a cell relaxed with GGA-PBE, using λ = 1.5418 Å (Cu Kα).
Peak positions follow from Bragg's law for the DFT cell and can differ from measured ones.

Largest 10 diffraction maxima, in order of rising 2θ, 15° ≤ 2θ ≤ 90°:
2θ = 21.3°, I = 100; 2θ = 22.9°, I = 21; 2θ = 23.4°, I = 49; 2θ = 26.5°, I = 18; 2θ = 32.4°, I = 42; 2θ = 36.6°, I = 92; 2θ = 38.0°, I = 67; 2θ = 39.0°, I = 74; 2θ = 43.4°, I = 29; 2θ = 47.0°, I = 20

Structure:
```
data_In2H4Os
_chemical_formula_sum 'In4 H8 Os2'
_space_group_name_H-M_alt 'C 1 m 1'
_space_group_IT_number 8
_space_group_name_Hall 'C -2y'
_cell_length_a 6.8166
_cell_length_b 6.3548
_cell_length_c 4.7798
_cell_angle_alpha 90.00
_cell_angle_beta 125.73
_cell_angle_gamma 90.00
loop_
_atom_site_label
_atom_site_type_symbol
_atom_site_fract_x
_atom_site_fract_y
_atom_site_fract_z
In1 In 0.0000 0.2329 0.0000
H1 H 0.0601 0.2595 0.5213
H2 H 0.3083 0.0000 0.5060
H3 H 0.3131 0.5000 0.4039
Os1 Os 0.1155 0.0000 0.6102
```

=====

(5)
The following is a theoretical powder X-ray diffraction pattern of KBaNa6. It was derived from a cell relaxed with GGA-PBE, using λ = 1.5418 Å (Cu Kα).
Peak positions follow from Bragg's law for the DFT cell and can differ from measured ones.

Largest 10 diffraction maxima, in order of rising 2θ, 15° ≤ 2θ ≤ 90°:
2θ = 16.9°, I = 26; 2θ = 17.6°, I = 32; 2θ = 19.1°, I = 25; 2θ = 21.9°, I = 31; 2θ = 25.3°, I = 24; 2θ = 27.9°, I = 34; 2θ = 28.9°, I = 100; 2θ = 29.8°, I = 38; 2θ = 38.0°, I = 23; 2θ = 54.4°, I = 21

Structure:
```
data_KBaNa6
_chemical_formula_sum 'K1 Ba1 Na6'
_space_group_name_H-M_alt 'P m m 2'
_space_group_IT_number 25
_space_group_name_Hall 'P 2 -2'
_cell_length_a 6.3876
_cell_length_b 8.2492
_cell_length_c 6.8038
_cell_angle_alpha 90.00
_cell_angle_beta 90.00
_cell_angle_gamma 90.00
loop_
_atom_site_label
_atom_site_type_symbol
_atom_site_fract_x
_atom_site_fract_y
_atom_site_fract_z
K1 K 0.0000 0.0000 0.0000
Ba1 Ba 0.5000 0.5000 0.6756
Na1 Na 0.0000 0.2447 0.5101
Na2 Na 0.0000 0.5000 0.0719
Na3 Na 0.5000 0.0000 0.6309
Na4 Na 0.5000 0.2471 0.1767
```

=====

(6)
The following is a theoretical powder X-ray diffraction pattern of Ba6Cd2PdPt. It was derived from a cell relaxed with GGA-PBE, using λ = 1.5418 Å (Cu Kα).
Peak positions follow from Bragg's law for the DFT cell and can differ from measured ones.

Largest 10 diffraction maxima, in order of rising 2θ, 15° ≤ 2θ ≤ 90°:
2θ = 23.9°, I = 33; 2θ = 24.7°, I = 57; 2θ = 25.1°, I = 68; 2θ = 26.7°, I = 39; 2θ = 27.1°, I = 44; 2θ = 29.6°, I = 100; 2θ = 32.0°, I = 61; 2θ = 33.2°, I = 46; 2θ = 37.6°, I = 72; 2θ = 44.1°, I = 36

Structure:
```
data_Ba6Cd2PdPt
_chemical_formula_sum 'Ba12 Cd4 Pd2 Pt2'
_space_group_name_H-M_alt 'P 1 21/c 1'
_space_group_IT_number 14
_space_group_name_Hall '-P 2ybc'
_cell_length_a 8.1597
_cell_length_b 8.9309
_cell_length_c 14.5575
_cell_angle_alpha 90.00
_cell_angle_beta 124.03
_cell_angle_gamma 90.00
loop_
_atom_site_label
_atom_site_type_symbol
_atom_site_fract_x
_atom_site_fract_y
_atom_site_fract_z
Ba1 Ba 0.1258 0.1851 0.4451
Ba2 Ba 0.2674 0.6888 0.4449
Ba3 Ba 0.3673 0.0225 0.2512
Cd1 Cd 0.2067 0.1016 0.7504
Pd1 Pd 0.0000 0.0000 0.0000
Pt1 Pt 0.5000 0.0000 0.5000
```

=====

(7)
The following is a theoretical powder X-ray diffraction pattern of NaSn3Br7. It was derived from a cell relaxed with GGA-PBE, using λ = 1.5418 Å (Cu Kα).
Peak positions follow from Bragg's law for the DFT cell and can differ from measured ones.

Largest 10 diffraction maxima, in order of rising 2θ, 15° ≤ 2θ ≤ 90°:
2θ = 20.4°, I = 36; 2θ = 25.5°, I = 100; 2θ = 30.8°, I = 64; 2θ = 32.1°, I = 75; 2θ = 32.3°, I = 93; 2θ = 39.4°, I = 41; 2θ = 41.1°, I = 46; 2θ = 41.5°, I = 41; 2θ = 43.5°, I = 30; 2θ = 51.2°, I = 34

Structure:
```
data_NaSn3Br7
_chemical_formula_sum 'Na2 Sn6 Br14'
_space_group_name_H-M_alt 'C 1 2/m 1'
_space_group_IT_number 12
_space_group_name_Hall '-C 2y'
_cell_length_a 9.5893
_cell_length_b 11.1542
_cell_length_c 7.6047
_cell_angle_alpha 90.00
_cell_angle_beta 113.27
_cell_angle_gamma 90.00
loop_
_atom_site_label
_atom_site_type_symbol
_atom_site_fract_x
_atom_site_fract_y
_atom_site_fract_z
Na1 Na 0.0000 0.0000 0.0000
Sn1 Sn 0.0000 0.2675 0.5000
Sn2 Sn 0.0000 0.5000 0.0000
Br1 Br 0.0000 0.0000 0.5000
Br2 Br 0.1636 0.2871 0.2314
Br3 Br 0.1667 0.5000 0.7427
```

=====

(8)
The following is a theoretical powder X-ray diffraction pattern of Cs. It was derived from a cell relaxed with GGA-PBE, using λ = 1.5418 Å (Cu Kα).
Peak positions follow from Bragg's law for the DFT cell and can differ from measured ones.

Largest 10 diffraction maxima, in order of rising 2θ, 15° ≤ 2θ ≤ 90°:
2θ = 17.7°, I = 46; 2θ = 20.3°, I = 100; 2θ = 21.2°, I = 45; 2θ = 27.0°, I = 99; 2θ = 35.5°, I = 24; 2θ = 36.0°, I = 23; 2θ = 39.9°, I = 34; 2θ = 41.4°, I = 31; 2θ = 45.1°, I = 24; 2θ = 58.7°, I = 22

Structure:
```
data_Cs
_chemical_formula_sum 'Cs4'
_space_group_name_H-M_alt 'P 63/m m c'
_space_group_IT_number 194
_space_group_name_Hall '-P 6c 2c'
_cell_length_a 8.7688
_cell_length_b 8.7688
_cell_length_c 10.0467
_cell_angle_alpha 90.00
_cell_angle_beta 90.00
_cell_angle_gamma 120.00
loop_
_atom_site_label
_atom_site_type_symbol
_atom_site_fract_x
_atom_site_fract_y
_atom_site_fract_z
Cs1 Cs 0.3333 0.6667 0.9996
```

=====

(9)
The following is a theoretical powder X-ray diffraction pattern of Ta2TcAs. It was derived from a cell relaxed with GGA-PBE, using λ = 1.5418 Å (Cu Kα).
Peak positions follow from Bragg's law for the DFT cell and can differ from measured ones.

Largest 10 diffraction maxima, in order of rising 2θ, 15° ≤ 2θ ≤ 90°:
2θ = 35.0°, I = 57; 2θ = 38.7°, I = 100; 2θ = 39.9°, I = 73; 2θ = 46.5°, I = 28; 2θ = 53.9°, I = 17; 2θ = 55.4°, I = 16; 2θ = 66.0°, I = 18; 2θ = 67.0°, I = 14; 2θ = 70.4°, I = 27; 2θ = 73.9°, I = 14

Structure:
```
data_Ta2TcAs
_chemical_formula_sum 'Ta4 Tc2 As2'
_space_group_name_H-M_alt 'A m m 2'
_space_group_IT_number 38
_space_group_name_Hall 'A 2 -2'
_cell_length_a 3.3995
_cell_length_b 3.3158
_cell_length_c 12.0987
_cell_angle_alpha 90.00
_cell_angle_beta 90.00
_cell_angle_gamma 90.00
loop_
_atom_site_label
_atom_site_type_symbol
_atom_site_fract_x
_atom_site_fract_y
_atom_site_fract_z
Ta1 Ta 0.0000 0.0000 0.0000
Ta2 Ta 0.5000 0.0000 0.3543
Tc1 Tc 0.5000 0.0000 0.6108
As1 As 0.0000 0.0000 0.7647
```

=====

(10)
The following is a theoretical powder X-ray diffraction pattern of Pm5Sm2DyY. It was derived from a cell relaxed with GGA-PBE, using λ = 1.5418 Å (Cu Kα).
Peak positions follow from Bragg's law for the DFT cell and can differ from measured ones.

Largest 10 diffraction maxima, in order of rising 2θ, 15° ≤ 2θ ≤ 90°:
2θ = 28.3°, I = 56; 2θ = 29.1°, I = 50; 2θ = 30.1°, I = 100; 2θ = 34.5°, I = 20; 2θ = 36.0°, I = 12; 2θ = 37.8°, I = 18; 2θ = 44.5°, I = 14; 2θ = 47.1°, I = 12; 2θ = 52.2°, I = 22; 2θ = 54.1°, I = 14

Structure:
```
data_Pm5Sm2DyY
_chemical_formula_sum 'Pm20 Sm8 Dy4 Y4'
_space_group_name_H-M_alt 'I 4/m c m'
_space_group_IT_number 140
_space_group_name_Hall '-I 4 2c'
_cell_length_a 8.6855
_cell_length_b 8.6855
_cell_length_c 16.2804
_cell_angle_alpha 90.00
_cell_angle_beta 90.00
_cell_angle_gamma 90.00
loop_
_atom_site_label
_atom_site_type_symbol
_atom_site_fract_x
_atom_site_fract_y
_atom_site_fract_z
Pm1 Pm 0.0000 0.0000 0.0000
Pm2 Pm 0.2114 0.2886 0.1407
Sm1 Sm 0.1197 0.3803 0.5000
Dy1 Dy 0.0000 0.5000 0.2500
Y1 Y 0.0000 0.0000 0.2500
```

=====

(11)
The following is a theoretical powder X-ray diffraction pattern of BiPPdAuN. It was derived from a cell relaxed with GGA-PBE, using λ = 1.5418 Å (Cu Kα).
Peak positions follow from Bragg's law for the DFT cell and can differ from measured ones.

Largest 10 diffraction maxima, in order of rising 2θ, 15° ≤ 2θ ≤ 90°:
2θ = 18.1°, I = 36; 2θ = 32.1°, I = 80; 2θ = 33.6°, I = 73; 2θ = 33.8°, I = 100; 2θ = 38.0°, I = 54; 2θ = 42.2°, I = 53; 2θ = 44.3°, I = 35; 2θ = 48.5°, I = 26; 2θ = 54.1°, I = 25; 2θ = 55.4°, I = 26

Structure:
```
data_BiPPdAuN
_chemical_formula_sum 'Bi2 P2 Pd2 Au2 N2'
_space_group_name_H-M_alt 'C 1 m 1'
_space_group_IT_number 8
_space_group_name_Hall 'C -2y'
_cell_length_a 10.6729
_cell_length_b 2.9230
_cell_length_c 6.3225
_cell_angle_alpha 90.00
_cell_angle_beta 117.97
_cell_angle_gamma 90.00
loop_
_atom_site_label
_atom_site_type_symbol
_atom_site_fract_x
_atom_site_fract_y
_atom_site_fract_z
Bi1 Bi 0.0000 0.0000 0.0000
P1 P 0.3902 0.0000 0.4228
Pd1 Pd 0.2619 0.0000 0.0050
Au1 Au 0.1359 0.5000 0.5402
N1 N 0.3573 0.5000 0.5536
```

=====

(12)
The following is a theoretical powder X-ray diffraction pattern of BaIrPd. It was derived from a cell relaxed with GGA-PBE, using λ = 1.5418 Å (Cu Kα).
Peak positions follow from Bragg's law for the DFT cell and can differ from measured ones.

Largest 10 diffraction maxima, in order of rising 2θ, 15° ≤ 2θ ≤ 90°:
2θ = 17.9°, I = 26; 2θ = 28.8°, I = 56; 2θ = 29.6°, I = 100; 2θ = 36.2°, I = 47; 2θ = 38.3°, I = 47; 2θ = 40.8°, I = 25; 2θ = 44.7°, I = 45; 2θ = 48.6°, I = 28; 2θ = 53.7°, I = 30; 2θ = 70.8°, I = 27

Structure:
```
data_BaIrPd
_chemical_formula_sum 'Ba4 Ir4 Pd4'
_space_group_name_H-M_alt 'I m m a'
_space_group_IT_number 74
_space_group_name_Hall '-I 2b 2'
_cell_length_a 4.6981
_cell_length_b 5.5275
_cell_length_c 11.2412
_cell_angle_alpha 90.00
_cell_angle_beta 90.00
_cell_angle_gamma 90.00
loop_
_atom_site_label
_atom_site_type_symbol
_atom_site_fract_x
_atom_site_fract_y
_atom_site_fract_z
Ba1 Ba 0.0000 0.2500 0.1284
Ir1 Ir 0.0000 0.2500 0.7106
Pd1 Pd 0.0000 0.0000 0.5000
```